No. 1
Computed X-ray powder pattern
Compound: HfW5
Radiation: Cu Kα
Structure: a DFT-relaxed cell (PBE, OQMD)

Atomic structure:
```
HfW5
1.0
5.334 0.000 0.000
-2.667 4.619 0.000
0.000 0.000 4.497
Hf W
1 5
Direct
0.000 0.000 0.000
0.000 0.500 0.500
0.333 0.667 0.000
0.500 0.000 0.500
0.500 0.500 0.500
0.667 0.333 0.000
```

Peak list (6 most intense, 2θ = 10–80°, in order of rising 2θ)
Position (°2θ), Rel. int.
39.00, 29
39.27, 100
40.10, 36
44.08, 42
63.90, 24
70.63, 20

=====

No. 2
Computed X-ray powder pattern
Compound: Y2Hf3Zn2
Radiation: Cu Kα
Structure: a DFT-relaxed cell (PBE, OQMD)

Atomic structure:
```
Y2Hf3Zn2
1.0
2.482 1.433 7.371
-2.482 1.433 7.371
0.000 -2.867 7.371
Y Hf Zn
2 3 2
Direct
0.000 0.000 0.000
0.434 0.434 0.434
0.260 0.260 0.260
0.588 0.588 0.588
0.856 0.856 0.856
0.136 0.136 0.136
0.722 0.722 0.722
```

Peak list (6 most intense, 2θ = 10–80°, in order of rising 2θ)
Position (°2θ), Rel. int.
12.01, 37
28.96, 19
35.26, 71
36.18, 100
51.41, 24
64.48, 24

=====

No. 3
Computed X-ray powder pattern
Compound: HfZr2
Radiation: Cu Kα
Structure: a DFT-relaxed cell (PBE, OQMD)

Atomic structure:
```
HfZr2
1.0
-1.602 1.602 6.710
1.602 -1.602 6.710
1.602 1.602 -6.710
Hf Zr
1 2
Direct
0.000 0.000 0.000
0.336 0.336 0.000
0.664 0.664 0.000
```

Peak list (6 most intense, 2θ = 10–80°, in order of rising 2θ)
Position (°2θ), Rel. int.
13.19, 13
34.44, 100
39.80, 34
40.32, 16
57.95, 22
68.82, 26

=====

No. 4
Computed X-ray powder pattern
Compound: HfZr3
Radiation: Cu Kα
Structure: a DFT-relaxed cell (PBE, OQMD)

Atomic structure:
```
HfZr3
1.0
3.220 -5.575 0.000
3.220 5.575 0.000
0.000 0.000 5.147
Hf Zr
2 6
Direct
0.083 0.917 0.750
0.917 0.083 0.250
0.082 0.415 0.750
0.415 0.082 0.250
0.416 0.584 0.250
0.584 0.416 0.750
0.585 0.918 0.750
0.918 0.585 0.250
```

Peak list (6 most intense, 2θ = 10–80°, in order of rising 2θ)
Position (°2θ), Rel. int.
32.10, 24
34.87, 26
36.66, 100
57.23, 18
63.69, 19
68.79, 21

=====

No. 5
Computed X-ray powder pattern
Compound: HfZr2
Radiation: Cu Kα
Structure: a DFT-relaxed cell (PBE, OQMD)

Atomic structure:
```
HfZr2
1.0
5.742 0.000 0.000
-2.871 4.973 0.000
0.000 0.000 9.469
Hf Zr
4 8
Direct
0.333 0.667 0.060
0.333 0.667 0.440
0.667 0.333 0.560
0.667 0.333 0.940
0.000 0.000 0.000
0.000 0.000 0.500
0.175 0.350 0.750
0.175 0.825 0.750
0.350 0.175 0.250
0.650 0.825 0.750
0.825 0.175 0.250
0.825 0.650 0.250
```

Peak list (6 most intense, 2θ = 10–80°, in order of rising 2θ)
Position (°2θ), Rel. int.
31.15, 49
33.63, 86
36.60, 100
37.39, 59
57.03, 32
61.55, 31

=====

No. 6
Computed X-ray powder pattern
Compound: LaHoHg6
Radiation: Cu Kα
Structure: a DFT-relaxed cell (PBE, OQMD)

Atomic structure:
```
LaHoHg6
1.0
6.675 0.000 0.000
-3.338 5.781 0.000
0.000 0.000 5.054
La Ho Hg
1 1 6
Direct
0.000 0.000 0.000
0.667 0.333 0.500
0.172 0.344 0.500
0.172 0.828 0.500
0.501 0.002 0.000
0.501 0.499 0.000
0.656 0.828 0.500
0.998 0.499 0.000
```

Peak list (6 most intense, 2θ = 10–80°, in order of rising 2θ)
Position (°2θ), Rel. int.
30.94, 24
35.53, 23
35.79, 100
55.03, 20
63.97, 19
67.23, 22

=====

No. 7
Computed X-ray powder pattern
Compound: HoLu6Hg
Radiation: Cu Kα
Structure: a DFT-relaxed cell (PBE, OQMD)

Atomic structure:
```
HoLu6Hg
1.0
6.913 0.000 0.000
-3.456 5.987 0.000
0.000 0.000 5.465
Ho Lu Hg
1 6 1
Direct
0.000 0.000 0.000
0.001 0.500 0.000
0.327 0.164 0.500
0.500 0.500 0.000
0.500 0.999 0.000
0.836 0.164 0.500
0.836 0.673 0.500
0.333 0.667 0.500
```

Peak list (6 most intense, 2θ = 10–80°, in order of rising 2θ)
Position (°2θ), Rel. int.
29.85, 24
32.78, 25
34.15, 100
52.99, 19
59.39, 21
63.72, 22

=====

No. 8
Computed X-ray powder pattern
Compound: Ho2Lu5Hg
Radiation: Cu Kα
Structure: a DFT-relaxed cell (PBE, OQMD)

Atomic structure:
```
Ho2Lu5Hg
1.0
5.436 0.000 0.000
0.000 3.472 5.992
0.000 -3.472 5.992
Ho Lu Hg
2 5 1
Direct
0.000 0.000 0.000
0.500 0.343 0.343
0.000 0.003 0.507
0.000 0.506 0.506
0.000 0.507 0.003
0.500 0.343 0.830
0.500 0.830 0.343
0.500 0.833 0.833
```

Peak list (6 most intense, 2θ = 10–80°, in order of rising 2θ)
Position (°2θ), Rel. int.
29.77, 24
32.95, 24
34.12, 100
45.00, 16
59.60, 20
63.73, 15

=====

No. 9
Computed X-ray powder pattern
Compound: Ho3Mg3HgPd2
Radiation: Cu Kα
Structure: a DFT-relaxed cell (PBE, OQMD)

Atomic structure:
```
Ho3Mg3HgPd2
1.0
7.525 0.000 0.000
-3.763 6.517 0.000
0.000 0.000 4.109
Ho Mg Hg Pd
3 3 1 2
Direct
0.000 0.582 0.000
0.418 0.418 0.000
0.582 0.000 0.000
0.000 0.257 0.500
0.257 0.000 0.500
0.743 0.743 0.500
0.000 0.000 0.000
0.333 0.667 0.500
0.667 0.333 0.500
```

Peak list (6 most intense, 2θ = 10–80°, in order of rising 2θ)
Position (°2θ), Rel. int.
23.65, 30
27.37, 34
32.26, 46
35.15, 100
41.57, 26
42.80, 27

=====

No. 10
Computed X-ray powder pattern
Compound: HoHgSeO
Radiation: Cu Kα
Structure: a DFT-relaxed cell (PBE, OQMD)

Atomic structure:
```
HoHgSeO
1.0
5.660 0.000 0.000
0.000 5.657 0.000
-0.450 0.000 13.008
Ho Hg Se O
4 4 4 4
Direct
0.004 0.000 0.079
0.494 0.001 0.919
0.506 0.501 0.081
0.996 0.500 0.921
0.120 0.275 0.496
0.498 0.020 0.263
0.502 0.520 0.737
0.880 0.775 0.504
0.186 0.332 0.242
0.193 0.210 0.752
0.807 0.710 0.248
0.814 0.832 0.758
0.250 0.749 0.000
0.255 0.248 0.000
0.745 0.748 0.000
0.750 0.249 0.000
```

Peak list (6 most intense, 2θ = 10–80°, in order of rising 2θ)
Position (°2θ), Rel. int.
22.22, 51
25.87, 52
30.02, 95
30.78, 100
32.39, 48
35.48, 50

=====

No. 11
Computed X-ray powder pattern
Compound: HoHg2Pb
Radiation: Cu Kα
Structure: a DFT-relaxed cell (PBE, OQMD)

Atomic structure:
```
HoHg2Pb
1.0
4.555 0.000 0.000
0.000 4.555 0.000
0.000 0.000 4.844
Ho Hg Pb
1 2 1
Direct
0.000 0.000 0.000
0.000 0.500 0.500
0.500 0.000 0.500
0.500 0.500 0.000
```

Peak list (6 most intense, 2θ = 10–80°, in order of rising 2θ)
Position (°2θ), Rel. int.
33.41, 100
37.12, 19
39.57, 32
55.37, 24
64.57, 15
67.88, 27

=====

No. 12
Computed X-ray powder pattern
Compound: HoTlHgS3
Radiation: Cu Kα
Structure: a DFT-relaxed cell (PBE, OQMD)

Atomic structure:
```
HoTlHgS3
1.0
2.045 -7.587 0.000
2.045 7.587 0.000
0.000 0.000 10.676
Ho Tl Hg S
2 2 2 6
Direct
0.000 0.000 0.000
0.000 0.000 0.500
0.309 0.691 0.750
0.691 0.309 0.250
0.399 0.601 0.250
0.601 0.399 0.750
0.045 0.955 0.250
0.378 0.622 0.028
0.378 0.622 0.472
0.622 0.378 0.528
0.622 0.378 0.972
0.955 0.045 0.750
```

Peak list (6 most intense, 2θ = 10–80°, in order of rising 2θ)
Position (°2θ), Rel. int.
20.34, 26
24.91, 25
28.08, 100
29.31, 42
33.58, 31
44.31, 44